(1)
Diffraction record for Ho3Zn4. The X-ray powder pattern is calculated, not measured: it uses a structure optimized by DFT (GGA-PBE) and Cu Kα.
Lines closer than 0.1° are merged.

Largest 8 diffraction maxima, in order of rising 2θ, 2θ = 5–70°:
2θ 22.7, I = 10, hkl 1 0 1; 2θ 28.3, I = 23, hkl 1 1 1; 2θ 31.6, I = 41, hkl 2 1 0; 2θ 37.3, I = 100, hkl 2 1 1; 2θ 39.1, I = 24, hkl 0 0 2; 2θ 51.1, I = 21, hkl 2 1 2; 2θ 56.3, I = 16, hkl 1 4 0; 2θ 69.6, I = 16, hkl 2 1 3

Structure:
Unit cell a=8.6453 b=8.6453 c=4.6097 alpha=90.00 beta=90.00 gamma=120.00
Space group P6_3/m (No. 176)
Inequivalent atoms, fractional coordinates:
Ho: 0.0989 0.4419 0.2500 x6
Zn: 0.0372 0.2079 0.7500 x6
Zn: 0.3333 0.6667 0.7500 x2

---

(2)
Diffraction record for Ho3Zr4. The X-ray powder pattern is calculated, not measured: it uses a structure optimized by DFT (GGA-PBE) and Cu Kα.
Lines closer than 0.1° are merged.

Largest 8 diffraction maxima, in order of rising 2θ, 2θ = 5–70°:
2θ 30.6, I = 24, hkl 2 1 0; 2θ 33.8, I = 25, hkl 0 0 2; 2θ 35.0, I = 100, hkl 2 1 1; 2θ 46.2, I = 15, hkl 2 1 2; 2θ 54.3, I = 18, hkl 1 4 0; 2θ 61.2, I = 20, hkl 2 1 3; 2θ 65.5, I = 20, hkl 1 4 2; 2θ 66.3, I = 14, hkl 4 2 1

Structure:
Unit cell a=8.9346 b=8.9346 c=5.3069 alpha=90.00 beta=90.00 gamma=120.00
Space group P6_3/m (No. 176)
Inequivalent atoms, fractional coordinates:
Ho: 0.0541 0.2535 0.2500 x6
Zr: 0.1051 0.4952 0.7500 x6
Zr: 0.3333 0.6667 0.2500 x2